Theoretical X-ray powder pattern
Compound: CoAs4F18
Radiation: Cu Ka
Structure: a structure optimized by DFT (PBE+U)
Lines closer than 0.1° are merged.

Principal peaks in the range 5° ≤ 2θ ≤ 70°, in order of rising 2θ:
h k l  d [Å]  intensity
0 2 0  6.527  23.2
0 1 1  6.444  20.4
1 2 0  4.134  67.4
1 2 -2  4.039  70.5
1 3 -1  3.752  22.7
2 0 -2  3.705  100.0
0 4 0  3.263  44.7
0 2 2  3.223  21.1

Structure:
a b c (Å): 7.412 13.053 10.285
angles (deg): 90.00 133.88 90.00
Fractional positions:
1 Co 0.000 0.000 0.000
2 Co 0.000 0.500 0.500
3 As 0.085 0.218 0.572
4 As 0.085 0.282 0.072
5 As 0.500 0.000 0.000
6 As 0.500 0.000 0.500
7 As 0.500 0.500 0.000
8 As 0.500 0.500 0.500
9 As 0.915 0.718 0.928
10 As 0.915 0.782 0.428
11 F 0.016 0.155 0.964
12 F 0.016 0.345 0.464
13 F 0.017 0.743 0.325
14 F 0.017 0.757 0.825
15 F 0.208 0.028 0.267
16 F 0.208 0.472 0.767
17 F 0.230 0.051 0.790
18 F 0.230 0.449 0.290
19 F 0.317 0.534 0.553
20 F 0.317 0.966 0.053
21 F 0.327 0.553 0.042
22 F 0.327 0.947 0.542
23 F 0.399 0.249 0.755
24 F 0.399 0.251 0.255
25 F 0.434 0.619 0.400
26 F 0.434 0.881 0.900
27 F 0.480 0.120 0.565
28 F 0.480 0.380 0.065
29 F 0.520 0.620 0.935
30 F 0.520 0.880 0.435
31 F 0.566 0.119 0.100
32 F 0.566 0.381 0.600
33 F 0.601 0.749 0.745
34 F 0.601 0.751 0.245
35 F 0.673 0.053 0.458
36 F 0.673 0.447 0.958
37 F 0.683 0.034 0.947
38 F 0.683 0.466 0.447
39 F 0.770 0.551 0.710
40 F 0.770 0.949 0.210
41 F 0.792 0.528 0.233
42 F 0.792 0.972 0.733
43 F 0.983 0.243 0.175
44 F 0.983 0.257 0.675
45 F 0.984 0.655 0.536
46 F 0.984 0.845 0.036